# 1
Structure and simulated powder diffractogram of Li5LaTl7 (a PBE-relaxed structure; Cu Ka).
Kinematic intensities with the Lorentz-polarization factor, no thermal factor.

Cell and atoms:
```
Li5LaTl7
1.0
-3.0521 5.0047 4.9722
3.0521 -5.0047 4.9722
3.0521 5.0047 -4.9722
Li La Tl
5 1 7
Direct
0.0000 0.0000 0.0000 Li
0.2357 0.2432 0.5120 Li
0.2357 0.7237 0.9926 Li
0.7312 0.2432 0.0074 Li
0.7312 0.7237 0.4880 Li
0.2418 0.7418 0.5000 La
0.0231 0.2165 0.8066 Tl
0.4099 0.2165 0.1934 Tl
0.4649 0.4649 0.0000 Tl
0.5863 0.0863 0.5000 Tl
0.5872 0.7496 0.8376 Tl
0.9024 0.4024 0.5000 Tl
0.9120 0.7496 0.1624 Tl
```

Largest 6 diffraction maxima, in order of rising 2θ, 5 to 70 degrees two-theta:
d = 3.527 Å, 2θ = 25.25°, rel. 41.1; d = 3.052 Å, 2θ = 29.26°, rel. 71.8; d = 2.928 Å, 2θ = 30.53°, rel. 65.0; d = 2.913 Å, 2θ = 30.69°, rel. 34.9; d = 2.521 Å, 2θ = 35.62°, rel. 100.0; d = 2.308 Å, 2θ = 39.03°, rel. 30.1

# 2
Structure and simulated powder diffractogram of LiLa5Tl3 (a PBE-relaxed structure; Cu Ka).
Kinematic intensities with the Lorentz-polarization factor, no thermal factor.

Cell and atoms:
```
LiLa5Tl3
1.0
9.7840 0.0000 0.0000
-4.8920 8.4732 0.0000
0.0000 0.0000 6.9396
Li La Tl
2 10 6
Direct
0.0000 0.0000 0.0000 Li
0.0000 0.0000 0.5000 Li
0.0000 0.3177 0.2500 La
0.0000 0.6823 0.7500 La
0.3177 0.0000 0.2500 La
0.3177 0.3177 0.7500 La
0.3333 0.6667 0.0000 La
0.3333 0.6667 0.5000 La
0.6667 0.3333 0.0000 La
0.6667 0.3333 0.5000 La
0.6823 0.0000 0.7500 La
0.6823 0.6823 0.2500 La
0.0000 0.3410 0.7500 Tl
0.0000 0.6590 0.2500 Tl
0.3410 0.0000 0.7500 Tl
0.3410 0.3410 0.2500 Tl
0.6590 0.0000 0.2500 Tl
0.6590 0.6590 0.7500 Tl
```

Largest 6 diffraction maxima, in order of rising 2θ, 5 to 70 degrees two-theta:
d = 3.470 Å, 2θ = 25.67°, rel. 10.6; d = 2.827 Å, 2θ = 31.65°, rel. 100.0; d = 2.190 Å, 2θ = 41.21°, rel. 17.7; d = 1.999 Å, 2θ = 45.36°, rel. 15.7; d = 1.631 Å, 2θ = 56.40°, rel. 26.7; d = 1.478 Å, 2θ = 62.86°, rel. 16.1